(1)
Starting from a structure optimized by DFT (GGA-PBE), the powder XRD pattern of Ta2N3 was simulated for Cu Kα, 1.54184 Å.

Structure:
a b c (Å): 8.239 3.000 8.201
angles (deg): 90.00 90.00 90.00
Fractional positions:
Ta 0.021 0.250 0.187
Ta 0.194 0.250 0.504
Ta 0.306 0.750 0.004
Ta 0.479 0.750 0.687
Ta 0.521 0.250 0.313
Ta 0.694 0.250 0.996
Ta 0.806 0.750 0.496
Ta 0.979 0.750 0.813
N 0.046 0.750 0.375
N 0.121 0.250 0.950
N 0.220 0.750 0.699
N 0.280 0.250 0.199
N 0.379 0.750 0.450
N 0.454 0.250 0.875
N 0.546 0.750 0.125
N 0.621 0.250 0.550
N 0.720 0.750 0.801
N 0.780 0.250 0.301
N 0.879 0.750 0.050
N 0.954 0.250 0.625

Principal peaks in the range 10 to 90 degrees two-theta, in order of rising 2θ:
| d/Å | 2θ (°) | I (rel.) |
| --- | --- | --- |
| 2.906 | 30.8 | 100 |
| 2.666 | 33.6 | 53 |
| 2.604 | 34.4 | 52 |
| 2.594 | 34.6 | 53 |
| 2.325 | 38.7 | 69 |
| 1.963 | 46.3 | 42 |

=====

(2)
Starting from a structure optimized by DFT (GGA-PBE), the powder XRD pattern of TaTeN was simulated for Cu Kα, 1.54184 Å.

Structure:
a b c (Å): 7.191 7.191 11.555
angles (deg): 110.75 110.75 29.53
Fractional positions:
Ta 0.100 0.100 0.095
Ta 0.183 0.183 0.899
Ta 0.817 0.817 0.101
Ta 0.900 0.900 0.905
Te 0.123 0.123 0.629
Te 0.340 0.340 0.700
Te 0.660 0.660 0.300
Te 0.877 0.877 0.371
N 0.043 0.043 0.900
N 0.257 0.257 0.106
N 0.743 0.743 0.894
N 0.957 0.957 0.100

Principal peaks in the range 10 to 90 degrees two-theta, in order of rising 2θ:
| d/Å | 2θ (°) | I (rel.) |
| --- | --- | --- |
| 3.527 | 25.3 | 67 |
| 3.371 | 26.4 | 54 |
| 3.256 | 27.4 | 100 |
| 3.235 | 27.6 | 50 |
| 2.268 | 39.7 | 65 |
| 2.249 | 40.1 | 51 |

=====

(3)
Starting from a structure optimized by DFT (GGA-PBE), the powder XRD pattern of TaTeN was simulated for Cu Kα, 1.54184 Å.

Structure:
a b c (Å): 3.573 3.573 9.632
angles (deg): 90.00 90.00 90.00
Fractional positions:
Ta 0.250 0.250 0.113
Ta 0.750 0.750 0.887
Te 0.250 0.250 0.703
Te 0.750 0.750 0.297
N 0.250 0.750 0.000
N 0.750 0.250 0.000

Principal peaks in the range 10 to 90 degrees two-theta, in order of rising 2θ:
| d/Å | 2θ (°) | I (rel.) |
| --- | --- | --- |
| 2.870 | 31.2 | 100 |
| 2.527 | 35.5 | 49 |
| 2.388 | 37.7 | 53 |
| 1.532 | 60.4 | 22 |
| 1.517 | 61.1 | 30 |
| 1.431 | 65.2 | 21 |

=====

(4)
Starting from a structure optimized by DFT (GGA-PBE), the powder XRD pattern of ThTaN3 was simulated for Cu Kα, 1.54184 Å.

Structure:
a b c (Å): 5.709 5.709 5.709
angles (deg): 119.94 90.73 119.21
Fractional positions:
Th 0.265 0.015 0.250
Th 0.735 0.985 0.750
Ta 0.000 0.500 0.500
Ta 0.500 0.500 0.000
N 0.145 0.395 0.750
N 0.309 0.000 0.809
N 0.309 0.500 0.309
N 0.691 0.000 0.191
N 0.691 0.500 0.691
N 0.855 0.605 0.250

Principal peaks in the range 10 to 90 degrees two-theta, in order of rising 2θ:
| d/Å | 2θ (°) | I (rel.) |
| --- | --- | --- |
| 2.888 | 31.0 | 19 |
| 2.855 | 31.3 | 100 |
| 2.031 | 44.6 | 18 |
| 1.661 | 55.3 | 17 |
| 1.648 | 55.8 | 25 |
| 1.427 | 65.4 | 14 |

=====

(5)
Starting from a structure optimized by DFT (GGA-PBE), the powder XRD pattern of ThTaN3 was simulated for Cu Kα, 1.54184 Å.

Structure:
a b c (Å): 5.770 8.086 5.692
angles (deg): 90.00 90.00 90.00
Fractional positions:
Th 0.043 0.250 0.006
Th 0.457 0.750 0.506
Th 0.543 0.250 0.494
Th 0.957 0.750 0.994
Ta 0.000 0.000 0.500
Ta 0.000 0.500 0.500
Ta 0.500 0.000 0.000
Ta 0.500 0.500 0.000
N 0.022 0.750 0.410
N 0.199 0.547 0.799
N 0.199 0.953 0.799
N 0.301 0.047 0.299
N 0.301 0.453 0.299
N 0.478 0.250 0.910
N 0.522 0.750 0.090
N 0.699 0.547 0.701
N 0.699 0.953 0.701
N 0.801 0.047 0.201
N 0.801 0.453 0.201
N 0.978 0.250 0.590

Principal peaks in the range 10 to 90 degrees two-theta, in order of rising 2θ:
| d/Å | 2θ (°) | I (rel.) |
| --- | --- | --- |
| 2.885 | 31.0 | 23 |
| 2.862 | 31.3 | 100 |
| 2.846 | 31.4 | 25 |
| 2.026 | 44.7 | 20 |
| 1.661 | 55.3 | 15 |
| 1.647 | 55.8 | 33 |

=====

(6)
Starting from a structure optimized by DFT (GGA-PBE), the powder XRD pattern of ThTaN3 was simulated for Cu Kα, 1.54184 Å.

Structure:
a b c (Å): 5.523 5.523 7.685
angles (deg): 90.00 90.00 145.94
Fractional positions:
Th 0.238 0.762 0.750
Th 0.762 0.238 0.250
Ta 0.500 0.500 0.000
Ta 0.500 0.500 0.500
N 0.129 0.871 0.056
N 0.129 0.871 0.444
N 0.428 0.572 0.250
N 0.572 0.428 0.750
N 0.871 0.129 0.556
N 0.871 0.129 0.944

Principal peaks in the range 10 to 90 degrees two-theta, in order of rising 2θ:
| d/Å | 2θ (°) | I (rel.) |
| --- | --- | --- |
| 3.107 | 28.7 | 100 |
| 2.869 | 31.2 | 47 |
| 2.640 | 34.0 | 28 |
| 2.382 | 37.8 | 20 |
| 2.275 | 39.6 | 32 |
| 1.435 | 65.0 | 21 |

=====

(7)
Starting from a structure optimized by DFT (GGA-PBE), the powder XRD pattern of ThTaN3 was simulated for Cu Kα, 1.54184 Å.

Structure:
a b c (Å): 4.064 4.064 4.064
angles (deg): 90.00 90.00 90.00
Fractional positions:
Th 0.000 0.000 0.000
Ta 0.500 0.500 0.500
N 0.000 0.500 0.500
N 0.500 0.000 0.500
N 0.500 0.500 0.000

Principal peaks in the range 10 to 90 degrees two-theta, in order of rising 2θ:
| d/Å | 2θ (°) | I (rel.) |
| --- | --- | --- |
| 2.874 | 31.1 | 100 |
| 2.032 | 44.6 | 24 |
| 1.659 | 55.4 | 41 |
| 1.437 | 64.9 | 16 |
| 1.285 | 73.7 | 18 |
| 1.173 | 82.2 | 5 |

=====

(8)
Starting from a structure optimized by DFT (GGA-PBE), the powder XRD pattern of TaTi2N3 was simulated for Cu Kα, 1.54184 Å.

Structure:
a b c (Å): 5.035 5.035 2.883
angles (deg): 90.00 90.00 120.00
Fractional positions:
Ta 0.000 0.000 0.000
Ti 0.333 0.667 0.500
Ti 0.667 0.333 0.500
N 0.000 0.500 0.000
N 0.500 0.000 0.000
N 0.500 0.500 0.000

Principal peaks in the range 10 to 90 degrees two-theta, in order of rising 2θ:
| d/Å | 2θ (°) | I (rel.) |
| --- | --- | --- |
| 4.360 | 20.4 | 65 |
| 2.517 | 35.7 | 85 |
| 2.405 | 37.4 | 100 |
| 2.180 | 41.4 | 24 |
| 1.739 | 52.6 | 55 |
| 1.431 | 65.2 | 40 |